# Ac6Sb2TeSe3
Theoretical powder diffraction line list, Cu Kα (λ = 1.5418 Å). Input: a cell relaxed with PBE.
Neutral-atom scattering factors, no anomalous dispersion.

Structural model:
Unit cell a=10.3313 b=10.3313 c=9.2432 alpha=102.68 beta=102.68 gamma=25.90
Sites, in units of the cell vectors:
Ac1 0.0029 0.0029 0.2365
Ac2 0.3281 0.3281 0.4213
Ac3 0.3350 0.3350 0.9108
Ac4 0.6650 0.6650 0.0892
Ac5 0.6719 0.6719 0.5787
Ac6 0.9971 0.9971 0.7635
Sb1 0.1654 0.1654 0.8312
Sb2 0.8346 0.8346 0.1688
Te1 0.5000 0.5000 0.5000
Se1 0.1661 0.1661 0.3340
Se2 0.5000 0.5000 0.0000
Se3 0.8339 0.8339 0.6660

Principal peaks in the range 15° ≤ 2θ ≤ 90°, in order of falling intensity:
27.27 deg, d = 3.271 Å, intensity 1000
38.91 deg, d = 2.315 Å, intensity 523
39.01 deg, d = 2.309 Å, intensity 252
23.56 deg, d = 3.777 Å, intensity 251
48.14 deg, d = 1.890 Å, intensity 215
63.54 deg, d = 1.464 Å, intensity 188